(1)
Diffraction record for RbInF3. The powder XRD pattern is theoretical, not measured: it uses DFT lattice parameters and positions (GGA-PBE) and a wavelength of 1.5418 Å.
Neutral-atom scattering factors, no anomalous dispersion.

Main lines, sorted by position (15 to 90 degrees two-theta):
h k l	d [Å]	two_theta	Rel. int.
2 0 0	4.711	18.84	9.3
2 2 0	3.331	26.76	100.0
4 0 0	2.355	38.21	37.5
4 2 2	1.923	47.26	40.5
4 4 0	1.666	55.15	23.3
6 2 0	1.490	62.33	19.6
6 4 2	1.259	75.52	21.8
6 6 0	1.110	87.94	10.8

```
data_RbInF3
_symmetry_space_group_name_H-M 'F m -3 m'
_symmetry_Int_Tables_number 225
_symmetry_space_group_name_Hall '-F 4 2 3'
_cell_length_a 9.422
_cell_length_b 9.422
_cell_length_c 9.422
_cell_angle_alpha 90.00
_cell_angle_beta 90.00
_cell_angle_gamma 90.00
loop_
_atom_site_label
_atom_site_fract_x
_atom_site_fract_y
_atom_site_fract_z
Rb1 0.250 0.250 0.250
In1 0.000 0.000 0.000
In2 0.000 0.000 0.500
F1 0.000 0.000 0.225
```



(2)
Diffraction record for Mg14AlGa. The powder XRD pattern is theoretical, not measured: it uses DFT lattice parameters and positions (GGA-PBE) and a wavelength of 1.5418 Å.
Neutral-atom scattering factors, no anomalous dispersion.

Main lines, sorted by position (15 to 90 degrees two-theta):
h k l	d [Å]	two_theta	Rel. int.
2 0 0	2.716	32.98	24.5
0 0 4	2.576	34.83	27.1
2 0 2	2.402	37.43	100.0
2 0 4	1.869	48.72	15.7
2 2 0	1.568	58.90	16.8
2 0 6	1.451	64.17	19.2
2 2 4	1.339	70.28	19.1
4 0 2	1.313	71.90	13.4

```
data_Mg14AlGa
_symmetry_space_group_name_H-M 'P -6 m 2'
_symmetry_Int_Tables_number 187
_symmetry_space_group_name_Hall 'P -6 2'
_cell_length_a 6.2720
_cell_length_b 6.2720
_cell_length_c 10.3034
_cell_angle_alpha 90.00
_cell_angle_beta 90.00
_cell_angle_gamma 120.00
loop_
_atom_site_label
_atom_site_fract_x
_atom_site_fract_y
_atom_site_fract_z
Mg1 0.0000 0.0000 0.2499
Mg2 0.0023 0.5011 0.2497
Mg3 0.3334 0.1667 0.0000
Mg4 0.3334 0.1667 0.5000
Al1 0.3333 0.6667 0.0000
Ga1 0.3333 0.6667 0.5000
```



(3)
Diffraction record for Tb2Zr2O7. The powder XRD pattern is theoretical, not measured: it uses DFT lattice parameters and positions (GGA-PBE) and a wavelength of 1.5418 Å.
Neutral-atom scattering factors, no anomalous dispersion.

Main lines, sorted by position (15 to 90 degrees two-theta):
h k l	d [Å]	two_theta	Rel. int.
2 2 2	3.064	29.14	100.0
4 0 0	2.654	33.77	31.5
4 4 0	1.877	48.51	49.3
6 2 2	1.600	57.60	43.3
4 4 4	1.532	60.42	9.5
8 0 0	1.327	71.04	7.1
6 6 2	1.218	78.56	17.3
8 4 0	1.187	81.02	13.3

abc: 10.615 10.615 10.615
angles: 90.00 90.00 90.00
Space group Fd-3m (No. 227, origin choice 2)
Unique sites:
Tb: 0.000 0.000 0.000 x16
Zr: 0.000 0.000 0.500 x16
O: 0.090 0.375 0.875 x48
O: 0.125 0.125 0.125 x8



(4)
Diffraction record for Mg14FeSb. The powder XRD pattern is theoretical, not measured: it uses DFT lattice parameters and positions (GGA-PBE) and a wavelength of 1.5418 Å.
Neutral-atom scattering factors, no anomalous dispersion.

Main lines, sorted by position (15 to 90 degrees two-theta):
h k l	d [Å]	two_theta	Rel. int.
1 0 2	4.768	18.61	32.6
2 0 2	3.691	24.11	17.9
0 2 2	2.717	32.96	28.6
4 0 0	2.522	35.59	37.9
2 2 2	2.392	37.60	100.0
2 0 4	2.381	37.79	50.3
4 2 2	1.849	49.29	17.6
4 2 6	1.328	70.96	18.0

```
data_Mg14FeSb
_symmetry_space_group_name_H-M 'A m m 2'
_symmetry_Int_Tables_number 38
_cell_length_a 10.089
_cell_length_b 6.288
_cell_length_c 10.802
_cell_angle_alpha 90.00
_cell_angle_beta 90.00
_cell_angle_gamma 90.00
loop_
_symmetry_equiv_pos_as_xyz
'x,y,z'
'-x,-y,z'
'-x,y,z'
'x,-y,z'
'x,y+1/2,z+1/2'
'-x,-y+1/2,z+1/2'
'-x,y+1/2,z+1/2'
'x,-y+1/2,z+1/2'
loop_
_atom_site_label
_atom_site_fract_x
_atom_site_fract_y
_atom_site_fract_z
Mg1 0.000 0.000 0.000
Mg2 0.000 0.000 0.498
Mg3 0.000 0.247 0.251
Mg4 0.245 0.000 0.668
Mg5 0.260 0.000 0.162
Mg6 0.262 0.241 0.920
Mg7 0.500 0.249 0.748
Fe1 0.500 0.000 0.000
Sb1 0.500 0.000 0.506
```



(5)
Diffraction record for BaNa2O2. The powder XRD pattern is theoretical, not measured: it uses DFT lattice parameters and positions (GGA-PBE) and a wavelength of 1.5418 Å.
Neutral-atom scattering factors, no anomalous dispersion.

Main lines, sorted by position (15 to 90 degrees two-theta):
h k l	d [Å]	two_theta	Rel. int.
1 1 0	5.349	16.57	48.0
0 1 1	4.795	18.50	69.6
1 1 1	3.984	22.32	100.0
2 1 -1	3.319	26.86	77.9
1 2 -1	2.956	30.23	86.9
1 0 2	2.932	30.49	70.6
1 2 1	2.832	31.60	76.3
2 0 -2	2.788	32.11	51.2

```
data_BaNa2O2
_symmetry_space_group_name_H-M 'P 1 21/c 1'
_symmetry_Int_Tables_number 14
_cell_length_a 8.421
_cell_length_b 6.973
_cell_length_c 6.672
_cell_angle_alpha 90.00
_cell_angle_beta 98.14
_cell_angle_gamma 90.00
loop_
_symmetry_equiv_pos_as_xyz
'x,y,z'
'-x,-y,-z'
'-x,y+1/2,-z+1/2'
'x,-y+1/2,z+1/2'
loop_
_atom_site_label
_atom_site_fract_x
_atom_site_fract_y
_atom_site_fract_z
Ba1 0.197 0.092 0.408
Na1 0.121 0.633 0.458
Na2 0.448 0.642 0.353
O1 0.044 0.121 0.734
O2 0.363 0.595 0.667
```



(6)
Diffraction record for MnAg2Sn3S8. The powder XRD pattern is theoretical, not measured: it uses DFT lattice parameters and positions (GGA-PBE) and a wavelength of 1.5418 Å.
Neutral-atom scattering factors, no anomalous dispersion.

Main lines, sorted by position (15 to 90 degrees two-theta):
h k l	d [Å]	two_theta	Rel. int.
0 0 2	3.669	24.26	91.2
2 1 0	3.639	24.46	43.0
0 1 2	3.404	26.18	26.7
1 -1 1	3.383	26.34	100.0
2 2 2	2.766	32.37	33.7
3 3 1	2.159	41.85	26.0
2 -2 0	1.906	47.71	25.4
2 2 4	1.804	50.59	27.2

```
data_MnAg2Sn3S8
_symmetry_space_group_name_H-M 'P -1'
_symmetry_Int_Tables_number 2
_cell_length_a 7.485
_cell_length_b 7.539
_cell_length_c 7.611
_cell_angle_alpha 76.85
_cell_angle_beta 76.82
_cell_angle_gamma 60.99
loop_
_symmetry_equiv_pos_as_xyz
'x,y,z'
'-x,-y,-z'
loop_
_atom_site_label
_atom_site_fract_x
_atom_site_fract_y
_atom_site_fract_z
Mn1 0.000 0.000 0.000
Ag1 0.000 0.500 0.000
Ag2 0.500 0.000 0.000
Sn1 0.000 0.000 0.500
Sn2 0.318 0.318 0.432
S1 0.064 0.596 0.661
S2 0.184 0.666 0.104
S3 0.337 0.808 0.903
S4 0.404 0.941 0.340
```



(7)
Diffraction record for MgSnO2. The powder XRD pattern is theoretical, not measured: it uses DFT lattice parameters and positions (GGA-PBE) and a wavelength of 1.5418 Å.
Neutral-atom scattering factors, no anomalous dispersion.

Main lines, sorted by position (15 to 90 degrees two-theta):
h k l	d [Å]	two_theta	Rel. int.
0 2 -1	4.250	20.90	70.8
0 1 2	3.493	25.50	64.9
1 0 -1	3.097	28.82	40.8
0 1 -3	2.960	30.19	100.0
0 3 -1	2.907	30.75	56.5
1 1 1	2.763	32.40	51.9
0 2 2	2.691	33.29	43.6
1 -2 0	2.661	33.68	36.4

```
data_MgSnO2
_symmetry_space_group_name_H-M 'P 1'
_symmetry_Int_Tables_number 1
_cell_length_a 3.302
_cell_length_b 8.754
_cell_length_c 8.916
_cell_angle_alpha 104.85
_cell_angle_beta 90.27
_cell_angle_gamma 92.53
loop_
_symmetry_equiv_pos_as_xyz
'x,y,z'
loop_
_atom_site_label
_atom_site_fract_x
_atom_site_fract_y
_atom_site_fract_z
Mg1 0.000 0.000 0.000
Mg2 0.035 0.712 0.218
Mg3 0.453 0.874 0.654
Mg4 0.535 0.601 0.872
Sn1 0.122 0.225 0.725
Sn2 0.393 0.369 0.100
Sn3 0.671 0.090 0.345
Sn4 0.899 0.572 0.513
O1 0.038 0.635 0.990
O2 0.124 0.948 0.213
O3 0.426 0.654 0.674
O4 0.497 0.988 0.879
O5 0.513 0.587 0.256
O6 0.641 0.375 0.748
O7 0.838 0.225 0.175
O8 0.947 0.823 0.516
```



(8)
Diffraction record for LaWN3. The powder XRD pattern is theoretical, not measured: it uses DFT lattice parameters and positions (GGA-PBE) and a wavelength of 1.5418 Å.
Neutral-atom scattering factors, no anomalous dispersion.

Main lines, sorted by position (15 to 90 degrees two-theta):
h k l	d [Å]	two_theta	Rel. int.
0 1 2	2.873	31.14	100.0
1 1 0	2.851	31.37	97.1
2 0 2	2.024	44.79	48.4
1 0 4	1.663	55.25	21.0
1 2 2	1.650	55.70	40.1
3 0 0	1.646	55.85	19.6
2 1 4	1.283	73.88	17.6
3 1 2	1.277	74.27	17.1

```
data_LaWN3
_symmetry_space_group_name_H-M 'R 3 m'
_symmetry_Int_Tables_number 160
_symmetry_space_group_name_Hall 'R 3 -2"'
_cell_length_a 5.7025
_cell_length_b 5.7025
_cell_length_c 7.0626
_cell_angle_alpha 90.00
_cell_angle_beta 90.00
_cell_angle_gamma 120.00
loop_
_atom_site_label
_atom_site_fract_x
_atom_site_fract_y
_atom_site_fract_z
La1 0.0000 0.0000 0.0000
W1 0.0000 0.0000 0.5054
N1 0.1697 0.3393 0.3808
```